Theoretical powder X-ray diffraction pattern of SrY2ReH for Cu Kα (weighted mean of Kα1 and Kα2), from a DFT-relaxed cell (PBE, Alexandria).
No peak broadening, texture or thermal motion is included.

Structure:
```
SrY2ReH
1.0
5.6759 0.0000 0.0000
0.0000 5.6759 0.0000
0.0000 0.0000 3.6657
Sr Y Re H
1 2 1 1
direct
0.0000 0.0000 0.0000
0.0000 0.5000 0.0000
0.5000 0.0000 0.0000
0.5000 0.5000 0.5000
0.0000 0.0000 0.5000
```

Top 10 peaks for 10° ≤ 2θ ≤ 90°, in order of rising 2θ:
2theta, I (rel.)
15.61, 21.5
29.00, 87.3
31.52, 100.0
33.10, 65.5
43.36, 59.0
45.18, 36.6
57.14, 27.1
60.09, 31.0
64.41, 18.4
69.45, 20.0

Theoretical powder X-ray diffraction pattern of La2ThBr2N2 for Cu Kα (weighted mean of Kα1 and Kα2), from a DFT-relaxed cell (PBE, Alexandria).
No peak broadening, texture or thermal motion is included.

Structure:
```
La2ThBr2N2
1.0
-2.3346 2.3346 8.2051
2.3346 -2.3346 8.2051
2.3346 2.3346 -8.2051
La Th Br N
2 1 2 2
direct
0.0949 0.0949 0.0000
0.9051 0.9051 0.0000
0.5000 0.5000 0.0000
0.3126 0.3126 0.0000
0.6874 0.6874 0.0000
0.0000 0.5000 0.5000
0.5000 0.0000 0.5000
```

Top 10 peaks for 10° ≤ 2θ ≤ 90°, in order of rising 2θ:
2theta, I (rel.)
10.78, 46.8
27.01, 83.2
33.37, 100.0
38.56, 38.3
51.90, 57.3
55.68, 13.0
62.95, 15.8
63.28, 12.7
66.49, 13.6
79.58, 16.6

Theoretical powder X-ray diffraction pattern of Tb3DyPb12 for Cu Kα (weighted mean of Kα1 and Kα2), from a DFT-relaxed cell (PBE, Alexandria).
No peak broadening, texture or thermal motion is included.

Structure:
```
Tb3DyPb12
1.0
4.9157 0.0000 0.0000
0.0000 4.9157 0.0000
0.0000 0.0000 19.2755
Tb Dy Pb
3 1 12
direct
0.0000 0.0000 0.0000
0.0000 0.0000 0.2502
0.0000 0.0000 0.7498
0.0000 0.0000 0.5000
0.0000 0.5000 0.1251
0.0000 0.5000 0.3754
0.0000 0.5000 0.6246
0.0000 0.5000 0.8749
0.5000 0.0000 0.1251
0.5000 0.0000 0.3754
0.5000 0.0000 0.6246
0.5000 0.0000 0.8749
0.5000 0.5000 0.0000
0.5000 0.5000 0.2503
0.5000 0.5000 0.5000
0.5000 0.5000 0.7497
```

Top 10 peaks for 10° ≤ 2θ ≤ 90°, in order of rising 2θ:
2theta, I (rel.)
31.74, 100.0
36.56, 34.5
37.32, 16.3
52.66, 12.4
53.24, 23.9
62.81, 29.4
63.84, 14.0
66.31, 12.5
86.37, 6.5
87.28, 12.7

Theoretical powder X-ray diffraction pattern of Na5USe5 for Cu Kα (weighted mean of Kα1 and Kα2), from a DFT-relaxed cell (PBE, Alexandria).
No peak broadening, texture or thermal motion is included.

Structure:
```
Na5USe5
1.0
6.9450 -2.8601 0.0000
6.9450 2.8601 0.0000
-2.5924 0.0000 7.8606
Na U Se
5 1 5
direct
0.0000 0.0000 0.0000
0.3064 0.3064 0.1759
0.3159 0.3159 0.6379
0.6841 0.6841 0.3621
0.6936 0.6936 0.8241
0.0000 0.0000 0.5000
0.1416 0.1416 0.3305
0.1521 0.1521 0.8111
0.5000 0.5000 0.5000
0.8479 0.8479 0.1889
0.8584 0.8584 0.6695
```

Top 10 peaks for 10° ≤ 2θ ≤ 90°, in order of rising 2θ:
2theta, I (rel.)
11.26, 100.0
14.58, 48.2
16.89, 92.3
29.40, 57.6
29.89, 56.3
31.27, 55.2
38.54, 22.7
41.04, 22.4
43.46, 39.3
43.79, 59.1

Theoretical powder X-ray diffraction pattern of Mg15Zn for Cu Kα (weighted mean of Kα1 and Kα2), from a DFT-relaxed cell (PBE, Alexandria).
No peak broadening, texture or thermal motion is included.

Structure:
```
Mg15Zn
1.0
6.3028 0.0000 0.0000
-3.1514 5.4584 0.0000
0.0000 0.0000 10.3915
Mg Zn
15 1
direct
0.0000 0.0000 0.0000
0.0030 0.5015 0.5000
0.3301 0.1650 0.2551
0.3301 0.1650 0.7449
0.3333 0.6667 0.2475
0.3333 0.6667 0.7525
0.4985 0.5015 0.5000
0.4985 0.9970 0.5000
0.5011 0.0021 0.0000
0.5011 0.4989 0.0000
0.8350 0.1650 0.2551
0.8350 0.1650 0.7449
0.8350 0.6699 0.2551
0.8350 0.6699 0.7449
0.9979 0.4989 0.0000
0.0000 0.0000 0.5000
```

Top 10 peaks for 10° ≤ 2θ ≤ 90°, in order of rising 2θ:
2theta, I (rel.)
16.24, 5.4
18.36, 8.1
32.82, 24.4
34.52, 27.2
37.21, 100.0
48.37, 15.7
58.58, 16.7
63.63, 19.8
69.81, 18.9
71.48, 13.3

Theoretical powder X-ray diffraction pattern of Tb2Er7In3 for Cu Kα (weighted mean of Kα1 and Kα2), from a DFT-relaxed cell (PBE, Alexandria).
No peak broadening, texture or thermal motion is included.

Structure:
```
Tb2Er7In3
1.0
2.7336 -17.6112 0.0000
2.7336 17.6112 0.0000
0.0000 0.0000 3.6404
Tb Er In
2 7 3
direct
0.1736 0.8264 0.0000
0.8264 0.1736 0.0000
0.0000 0.0000 0.0000
0.0902 0.9098 0.5000
0.2734 0.7266 0.0000
0.4276 0.5724 0.0000
0.5724 0.4276 0.0000
0.7266 0.2734 0.0000
0.9098 0.0902 0.5000
0.3517 0.6483 0.5000
0.5000 0.5000 0.5000
0.6483 0.3517 0.5000
```

Top 10 peaks for 10° ≤ 2θ ≤ 90°, in order of rising 2θ:
2theta, I (rel.)
26.49, 14.6
30.46, 20.4
32.16, 37.7
32.40, 31.9
32.76, 47.8
34.55, 100.0
50.12, 14.5
58.15, 15.4
59.63, 23.5
61.17, 15.9

Theoretical powder X-ray diffraction pattern of PmSi4Pt4 for Cu Kα (weighted mean of Kα1 and Kα2), from a DFT-relaxed cell (PBE, Alexandria).
No peak broadening, texture or thermal motion is included.

Structure:
```
PmSi4Pt4
1.0
6.1868 0.0000 0.0000
0.0000 6.1868 0.0000
0.0000 0.0000 8.0114
Pm Si Pt
2 8 8
direct
0.2500 0.7500 0.2500
0.7500 0.2500 0.7500
0.0351 0.2500 0.0733
0.2500 0.0351 0.5733
0.2500 0.4649 0.5733
0.4649 0.2500 0.0733
0.5351 0.7500 0.9267
0.7500 0.5351 0.4267
0.7500 0.9649 0.4267
0.9649 0.7500 0.9267
0.0258 0.2500 0.3767
0.2500 0.0258 0.8767
0.2500 0.4742 0.8767
0.4742 0.2500 0.3767
0.5258 0.7500 0.6233
0.7500 0.5258 0.1233
0.7500 0.9742 0.1233
0.9742 0.7500 0.6233
```

Top 10 peaks for 10° ≤ 2θ ≤ 90°, in order of rising 2θ:
2theta, I (rel.)
26.51, 64.6
30.99, 54.7
34.29, 100.0
36.66, 37.6
39.59, 22.2
41.27, 31.4
44.84, 30.2
56.37, 22.7
58.51, 25.2
62.92, 31.9

Theoretical powder X-ray diffraction pattern of Li2PrNd2Sn2 for Cu Kα (weighted mean of Kα1 and Kα2), from a DFT-relaxed cell (PBE, Alexandria).
No peak broadening, texture or thermal motion is included.

Structure:
```
Li2PrNd2Sn2
1.0
2.4302 1.4031 9.2959
-2.4302 1.4031 9.2959
0.0000 -2.8062 9.2959
Li Pr Nd Sn
2 1 2 2
direct
0.0963 0.0963 0.0963
0.9037 0.9037 0.9037
0.5000 0.5000 0.5000
0.3703 0.3703 0.3703
0.6297 0.6297 0.6297
0.2370 0.2370 0.2370
0.7630 0.7630 0.7630
```

Top 10 peaks for 10° ≤ 2θ ≤ 90°, in order of rising 2θ:
2theta, I (rel.)
21.35, 78.8
30.90, 87.1
33.37, 100.0
36.99, 93.2
48.96, 37.2
50.67, 32.9
62.93, 59.6
64.37, 31.3
66.66, 16.9
86.99, 25.4

Theoretical powder X-ray diffraction pattern of Tm5GaBi5 for Cu Kα (weighted mean of Kα1 and Kα2), from a DFT-relaxed cell (PBE, Alexandria).
No peak broadening, texture or thermal motion is included.

Structure:
```
Tm5GaBi5
1.0
6.0877 -3.0961 0.0000
6.0877 3.0961 0.0000
-4.4217 0.0000 8.9798
Tm Ga Bi
5 1 5
direct
0.0000 0.0000 0.0000
0.3275 0.3275 0.6809
0.3359 0.3359 0.1473
0.6641 0.6641 0.8527
0.6725 0.6725 0.3191
0.5000 0.5000 0.0000
0.1402 0.1402 0.8064
0.1760 0.1760 0.3391
0.5000 0.5000 0.5000
0.8240 0.8240 0.6609
0.8598 0.8598 0.1936
```

Top 10 peaks for 10° ≤ 2θ ≤ 90°, in order of rising 2θ:
2theta, I (rel.)
28.84, 100.0
29.85, 86.2
30.86, 93.4
35.91, 51.0
41.99, 69.5
42.75, 62.8
46.69, 50.4
58.85, 21.8
68.18, 34.2
69.80, 25.1

Theoretical powder X-ray diffraction pattern of Pr6Er for Cu Kα (weighted mean of Kα1 and Kα2), from a DFT-relaxed cell (PBE, Alexandria).
No peak broadening, texture or thermal motion is included.

Structure:
```
Pr6Er
1.0
6.6681 0.0000 0.0000
0.0000 6.6681 0.0000
0.0000 0.0000 11.4683
Pr Er
12 2
direct
0.0814 0.5814 0.1398
0.0814 0.9186 0.8602
0.2500 0.2500 0.3637
0.2500 0.2500 0.6363
0.4186 0.5814 0.8602
0.4186 0.9186 0.1398
0.5814 0.0814 0.8602
0.5814 0.4186 0.1398
0.7500 0.7500 0.3637
0.7500 0.7500 0.6363
0.9186 0.0814 0.1398
0.9186 0.4186 0.8602
0.2500 0.7500 0.5000
0.7500 0.2500 0.5000
```

Top 10 peaks for 10° ≤ 2θ ≤ 90°, in order of rising 2θ:
2theta, I (rel.)
23.27, 24.0
27.87, 100.0
30.09, 76.8
30.99, 63.5
31.20, 25.9
33.88, 70.9
38.17, 27.0
50.16, 26.0
53.98, 52.9
64.06, 26.3